(1)
TbSm4In: simulated XRD peak list (Cu Ka), based on a cell relaxed with PBE.
No peak broadening, texture or thermal motion is included.

```
6
Lattice="4.129 0.000 0.000 0.000 4.129 0.000 0.000 0.000 11.155" Properties=species:S:1:pos:R:3 pbc="T T T"
Tb 0.000 0.000 0.000
Sm 0.000 0.000 3.930
Sm 0.000 0.000 7.225
Sm 2.065 2.065 1.870
Sm 2.065 2.065 9.284
In 2.065 2.065 5.577
```

Peak list (10 most intense, 10 to 90 degrees two-theta, in order of rising 2θ)
d/Å, 2theta, I_rel
2.920, 30.62, 61
2.763, 32.40, 100
2.065, 43.85, 23
1.654, 55.57, 43
1.568, 58.89, 16
1.460, 63.75, 7
1.382, 67.84, 10
1.306, 72.37, 10
1.291, 73.35, 9
1.094, 89.56, 12

(2)
CaLa4Dy4: simulated XRD peak list (Cu Ka), based on a cell relaxed with PBE.
No peak broadening, texture or thermal motion is included.

```
18
Lattice="6.799 0.000 0.000 -1.071 9.175 0.000 -1.885 -3.046 10.112" Properties=species:S:1:pos:R:3 pbc="T T T"
Ca -0.709 1.621 2.580
Ca 4.552 4.508 7.532
La -0.645 1.437 6.151
La -0.245 7.551 4.051
La 0.752 -1.655 7.536
La 0.291 3.110 9.589
La 3.552 3.019 0.523
La 3.091 7.784 2.576
La 4.088 -1.422 6.061
La 4.489 4.692 3.962
Dy -1.696 0.042 9.439
Dy 1.686 0.051 0.665
Dy 1.189 4.561 2.526
Dy 1.216 4.516 5.985
Dy 2.627 1.613 4.127
Dy 2.654 1.568 7.587
Dy 2.157 6.078 9.447
Dy 5.539 6.088 0.673
```

Peak list (10 most intense, 10 to 90 degrees two-theta, in order of rising 2θ)
d/Å, 2theta, I_rel
2.935, 30.46, 39
2.926, 30.55, 93
2.910, 30.72, 100
2.883, 31.01, 54
2.616, 34.28, 31
2.058, 44.00, 20
1.803, 50.64, 13
1.685, 54.46, 16
1.533, 60.38, 21
1.530, 60.52, 15

(3)
Li2Pr2NdSi2: simulated XRD peak list (Cu Ka), based on a cell relaxed with PBE.
No peak broadening, texture or thermal motion is included.

```
7
Lattice="2.261 1.305 9.426 -2.261 1.305 9.426 0.000 -2.611 9.426" Properties=species:S:1:pos:R:3 pbc="T T T"
Li 0.000 0.000 2.934
Li 0.000 0.000 25.342
Pr 0.000 0.000 10.576
Pr 0.000 0.000 17.701
Nd 0.000 0.000 14.138
Si 0.000 0.000 6.615
Si 0.000 0.000 21.662
```

Peak list (10 most intense, 10 to 90 degrees two-theta, in order of rising 2θ)
d/Å, 2theta, I_rel
3.879, 22.93, 100
2.812, 31.83, 62
2.624, 34.17, 74
2.261, 39.87, 53
1.953, 46.49, 15
1.835, 49.68, 18
1.762, 51.89, 16
1.713, 53.50, 21
1.448, 64.34, 20
1.365, 68.75, 19